Starting from a PBE-relaxed structure, the X-ray diffraction stick pattern of Th2Si6Rh9 was simulated for Cu Kα, 1.54184 Å.
No peak broadening, texture or thermal motion is included.

Top 10 peaks for 10° ≤ 2θ ≤ 90°, by angle:
Position (°2θ), Rel. int.
24.6, 51
30.8, 68
37.1, 100
40.7, 77
45.0, 29
56.2, 25
63.0, 21
64.2, 24
66.8, 34
88.2, 18

Crystal structure
Cell: 5.6029 5.6029 10.8496 Å, 90.00 90.00 120.00°
Fractional positions:
Th 0.0000 0.0000 0.1983
Th 0.0000 0.0000 0.8017
Si 0.3333 0.6667 0.1654
Si 0.3333 0.6667 0.5000
Si 0.3333 0.6667 0.8346
Si 0.6667 0.3333 0.1654
Si 0.6667 0.3333 0.5000
Si 0.6667 0.3333 0.8346
Rh 0.0000 0.5000 0.0000
Rh 0.0000 0.5000 0.3328
Rh 0.0000 0.5000 0.6672
Rh 0.5000 0.0000 0.0000
Rh 0.5000 0.0000 0.3328
Rh 0.5000 0.0000 0.6672
Rh 0.5000 0.5000 0.0000
Rh 0.5000 0.5000 0.3328
Rh 0.5000 0.5000 0.6672

Starting from a PBE-relaxed structure, the X-ray diffraction stick pattern of ThSiRh was simulated for Cu Kα, 1.54184 Å.
No peak broadening, texture or thermal motion is included.

Top 10 peaks for 10° ≤ 2θ ≤ 90°, by angle:
Position (°2θ), Rel. int.
22.2, 19
28.3, 51
32.8, 100
37.9, 47
43.3, 35
49.3, 20
52.6, 19
58.9, 26
67.7, 16
72.8, 20

Crystal structure
Cell: 7.7907 7.7907 7.7907 Å, 148.91 148.91 44.55°
Fractional positions:
Th 0.0000 0.0000 0.0000
Th 0.7500 0.2500 0.5000
Si 0.1713 0.6713 0.5000
Si 0.4213 0.4213 0.0000
Rh 0.3394 0.8394 0.5000
Rh 0.5894 0.5894 0.0000

Starting from a PBE-relaxed structure, the X-ray diffraction stick pattern of ThSi4Rh2 was simulated for Cu Kα, 1.54184 Å.
No peak broadening, texture or thermal motion is included.

Top 10 peaks for 10° ≤ 2θ ≤ 90°, by angle:
Position (°2θ), Rel. int.
14.7, 31
23.3, 46
29.7, 50
29.9, 22
35.2, 25
36.5, 100
36.9, 66
40.3, 38
42.2, 39
59.8, 24

Crystal structure
Cell: 16.6869 4.2858 6.4485 Å, 90.00 90.00 90.00°
Fractional positions:
Th 0.1411 0.2500 0.0015
Th 0.3589 0.7500 0.5015
Th 0.6411 0.2500 0.4985
Th 0.8589 0.7500 0.9985
Si 0.0323 0.7500 0.1506
Si 0.0640 0.2500 0.5358
Si 0.1793 0.7500 0.6803
Si 0.1918 0.7500 0.2898
Si 0.3082 0.2500 0.7898
Si 0.3207 0.2500 0.1803
Si 0.4360 0.7500 0.0358
Si 0.4677 0.2500 0.6506
Si 0.5323 0.7500 0.3494
Si 0.5640 0.2500 0.9642
Si 0.6793 0.7500 0.8197
Si 0.6918 0.7500 0.2102
Si 0.8082 0.2500 0.7102
Si 0.8207 0.2500 0.3197
Si 0.9360 0.7500 0.4642
Si 0.9677 0.2500 0.8494
Rh 0.0299 0.7500 0.7508
Rh 0.2101 0.2500 0.4839
Rh 0.2899 0.7500 0.9839
Rh 0.4701 0.2500 0.2508
Rh 0.5299 0.7500 0.7492
Rh 0.7101 0.2500 0.0161
Rh 0.7899 0.7500 0.5161
Rh 0.9701 0.2500 0.2492

Starting from a PBE-relaxed structure, the X-ray diffraction stick pattern of Th3ZnSi2Rh9 was simulated for Cu Kα, 1.54184 Å.
No peak broadening, texture or thermal motion is included.

Top 10 peaks for 10° ≤ 2θ ≤ 90°, by angle:
Position (°2θ), Rel. int.
26.3, 19
29.5, 14
33.1, 100
38.3, 23
40.0, 82
54.2, 36
61.3, 23
65.0, 14
68.3, 24
69.5, 15

Crystal structure
Cell: 6.7681 6.7681 7.0587 Å, 90.00 90.00 120.00°
Fractional positions:
Th 0.0000 0.0000 0.0000
Th 0.3333 0.6667 0.6645
Th 0.6667 0.3333 0.3355
Zn 0.0000 0.0000 0.5000
Si 0.3333 0.6667 0.1560
Si 0.6667 0.3333 0.8440
Rh 0.0000 0.5000 0.0000
Rh 0.1775 0.3550 0.3386
Rh 0.1775 0.8225 0.3386
Rh 0.3550 0.1775 0.6614
Rh 0.5000 0.0000 0.0000
Rh 0.5000 0.5000 0.0000
Rh 0.6450 0.8225 0.3386
Rh 0.8225 0.1775 0.6614
Rh 0.8225 0.6450 0.6614

Starting from a PBE-relaxed structure, the X-ray diffraction stick pattern of Ti3SiRh4 was simulated for Cu Kα, 1.54184 Å.
No peak broadening, texture or thermal motion is included.

Top 10 peaks for 10° ≤ 2θ ≤ 90°, by angle:
Position (°2θ), Rel. int.
28.1, 27
31.2, 12
38.4, 9
39.5, 21
40.8, 44
42.5, 100
52.2, 8
58.1, 13
75.4, 17
79.7, 11

Crystal structure
Cell: 8.8497 5.7366 4.5595 Å, 90.00 90.00 90.00°
Fractional positions:
Ti 0.0000 0.0000 0.0000
Ti 0.2500 0.0000 0.4420
Ti 0.2500 0.5000 0.4135
Ti 0.5000 0.0000 0.0000
Ti 0.7500 0.0000 0.5580
Ti 0.7500 0.5000 0.5865
Si 0.0000 0.5000 0.0000
Si 0.5000 0.5000 0.0000
Rh 0.0000 0.2515 0.5000
Rh 0.0000 0.7485 0.5000
Rh 0.2500 0.2563 0.9178
Rh 0.2500 0.7437 0.9178
Rh 0.5000 0.2515 0.5000
Rh 0.5000 0.7485 0.5000
Rh 0.7500 0.2563 0.0822
Rh 0.7500 0.7437 0.0822

Starting from a PBE-relaxed structure, the X-ray diffraction stick pattern of Ti2Si2Rh3 was simulated for Cu Kα, 1.54184 Å.
No peak broadening, texture or thermal motion is included.

Top 10 peaks for 10° ≤ 2θ ≤ 90°, by angle:
Position (°2θ), Rel. int.
12.3, 28
25.3, 29
26.3, 18
30.1, 34
38.6, 29
42.0, 100
44.0, 95
62.5, 30
75.5, 13
79.6, 19

Crystal structure
Cell: 4.1170 4.1170 7.5619 Å, 105.71 105.71 59.90°
Fractional positions:
Ti 0.1273 0.1273 0.3817
Ti 0.8727 0.8727 0.6183
Si 0.3872 0.3872 0.1596
Si 0.6128 0.6128 0.8404
Rh 0.0000 0.0000 0.0000
Rh 0.2556 0.2556 0.7672
Rh 0.7444 0.7444 0.2328

Question: What is the formula in the sixth record?
Answer: Ti2Si2Rh3

Question: Which formula does entry 6 have?
Answer: Ti2Si2Rh3